(1)
This entry pairs a crystal structure of Tm3Cd8 with its calculated powder XRD pattern. Radiation: Cu Kα (λ = 1.5418 Å). Structure: a structure optimized by DFT (GGA-PBE).

Largest 10 diffraction maxima, low angle first, 15° ≤ 2θ ≤ 90°:
| d_spacing | Position (°2θ) | I/Imax |
| --- | --- | --- |
| 4.159 | 21.36 | 8 |
| 2.635 | 34.03 | 88 |
| 2.465 | 36.45 | 100 |
| 2.361 | 38.12 | 16 |
| 1.800 | 50.72 | 28 |
| 1.559 | 59.28 | 8 |
| 1.454 | 64.05 | 27 |
| 1.423 | 65.60 | 17 |
| 1.232 | 77.44 | 11 |
| 1.116 | 87.35 | 12 |

Cell and atoms:
Cell: 4.9299 4.9299 36.8359 Å, 90.00 90.00 120.00°
Space group R-3m (No. 166, hexagonal axes)
Unique sites:
Tm (0.0000, 0.0000, 0.0000) (multiplicity 3)
Tm (0.0000, 0.0000, 0.4529) (multiplicity 6)
Cd (0.0000, 0.0000, 0.0836) (multiplicity 6)
Cd (0.0000, 0.0000, 0.1634) (multiplicity 6)
Cd (0.0000, 0.0000, 0.2772) (multiplicity 6)
Cd (0.0000, 0.0000, 0.3657) (multiplicity 6)


(2)
This entry pairs a crystal structure of NpTiW with its calculated powder XRD pattern. Radiation: Cu Kα (λ = 1.5418 Å). Structure: a structure optimized by DFT (GGA-PBE).

Largest 10 diffraction maxima, low angle first, 15° ≤ 2θ ≤ 90°:
| d_spacing | Position (°2θ) | I/Imax |
| --- | --- | --- |
| 4.188 | 21.22 | 38 |
| 2.571 | 34.90 | 98 |
| 2.550 | 35.20 | 89 |
| 2.373 | 37.92 | 100 |
| 2.270 | 39.70 | 47 |
| 2.213 | 40.78 | 48 |
| 2.094 | 43.21 | 52 |
| 2.022 | 44.81 | 43 |
| 1.832 | 49.76 | 48 |
| 1.492 | 62.22 | 49 |

Cell and atoms:
Cell: 4.987 2.701 7.713 Å, 90.00 90.00 90.00°
Space group Pmma (No. 51)
Unique sites:
Np (0.000, 0.000, 0.000) (multiplicity 2)
Ti (0.250, 0.000, 0.345) (multiplicity 2)
W (0.250, 0.500, 0.653) (multiplicity 2)


(3)
This entry pairs a crystal structure of FeH12C4NCl4 with its calculated powder XRD pattern. Radiation: Cu Kα (λ = 1.5418 Å). Structure: a structure optimized by DFT (GGA-PBE).

Largest 10 diffraction maxima, low angle first, 15° ≤ 2θ ≤ 90°:
| d_spacing | Position (°2θ) | I/Imax |
| --- | --- | --- |
| 4.871 | 18.21 | 83 |
| 4.843 | 18.32 | 100 |
| 4.683 | 18.95 | 69 |
| 3.916 | 22.70 | 31 |
| 3.333 | 26.74 | 66 |
| 3.294 | 27.07 | 24 |
| 3.140 | 28.43 | 39 |
| 2.840 | 31.50 | 26 |
| 1.924 | 47.24 | 24 |
| 1.871 | 48.67 | 25 |

Cell and atoms:
Cell: 14.284 6.659 6.588 Å, 90.00 90.00 90.00°
Space group Pma2 (No. 28)
Unique sites:
Fe (0.250, 0.070, 0.000) (multiplicity 2)
H (0.028, 0.279, 0.186) (multiplicity 4)
H (0.056, 0.793, 0.377) (multiplicity 4)
H (0.057, 0.308, 0.639) (multiplicity 4)
H (0.089, 0.619, 0.183) (multiplicity 4)
H (0.103, 0.560, 0.637) (multiplicity 4)
H (0.137, 0.383, 0.445) (multiplicity 4)
C (0.032, 0.671, 0.279) (multiplicity 4)
C (0.080, 0.433, 0.543) (multiplicity 4)
N (0.000, 0.500, 0.411) (multiplicity 2)
Cl (0.123, 0.950, 0.853) (multiplicity 4)
Cl (0.250, 0.404, 0.982) (multiplicity 2)
Cl (0.250, 0.993, 0.326) (multiplicity 2)